Diffraction record for Tm2NpCrO8. The powder X-ray diffraction pattern is computed, not measured: it uses a DFT-relaxed cell (PBE+U, Alexandria) and Cu Kα (λ = 1.5418 Å).
Kinematic intensities with the Lorentz-polarization factor, no thermal factor.

Cell and atoms:
Cell: 4.9496 6.6294 4.9515 Å, 90.00 92.15 90.00°
Sites, in units of the cell vectors:
Tm 0.0000 0.2352 0.0000
Tm 0.0000 0.7648 0.0000
Np 0.5000 0.5000 0.5000
Cr 0.5000 0.0000 0.5000
O 0.2096 0.5000 0.2076
O 0.2122 0.0000 0.2110
O 0.3196 0.2571 0.6790
O 0.3196 0.7429 0.6790
O 0.6804 0.2571 0.3210
O 0.6804 0.7429 0.3210
O 0.7878 0.0000 0.7890
O 0.7904 0.5000 0.7924

The 8 most intense peaks (10 to 90 degrees two-theta), in order of rising 2θ:
| Position (°2θ) | d_spacing | I (rel.) | (hkl) |
| --- | --- | --- | --- |
| 22.42 | 3.965 | 33 | 1 1 0 |
| 24.97 | 3.566 | 63 | 1 0 -1 |
| 25.94 | 3.434 | 55 | 1 0 1 |
| 32.52 | 2.754 | 100 | 1 2 0 |
| 36.32 | 2.474 | 31 | 0 0 2 |
| 48.99 | 1.860 | 46 | 2 2 -1 |
| 50.08 | 1.821 | 37 | 2 2 1 |
| 62.95 | 1.476 | 23 | 0 2 3 |